Diffraction record for PmSmBi2O6. The powder XRD pattern is theoretical, not measured: it uses a structure optimized by DFT (PBE) and Cu Kα.

Principal peaks in the range 2θ = 10–80°, sorted by position:
- 28.60°, intensity 92, hkl 1 0 4
- 29.07°, intensity 100, hkl 1 1 0
- 41.23°, intensity 40, hkl 0 2 4
- 46.05°, intensity 30, hkl 1 1 6
- 51.24°, intensity 42, hkl 3 -1 4
- 51.53°, intensity 28, hkl 3 0 0

Crystal structure
a b c (Å): 6.1441 6.1441 15.4159
angles (deg): 90.00 90.00 120.00
Space group R3 (No. 146, hexagonal axes)
Asymmetric unit:
Pm: 0.0000 0.0000 0.0000 (multiplicity 3)
Sm: 0.0000 0.0000 0.4992 (multiplicity 3)
Bi: 0.0000 0.0000 0.2842 (multiplicity 3)
Bi: 0.0000 0.0000 0.7844 (multiplicity 3)
O: 0.0659 0.3799 0.5524 (multiplicity 9)
O: 0.0662 0.6839 0.0526 (multiplicity 9)

---

Diffraction record for SrPmBiO2. The powder XRD pattern is theoretical, not measured: it uses a structure optimized by DFT (PBE) and Cu Kα.

Principal peaks in the range 2θ = 10–80°, sorted by position:
- 27.84°, intensity 100, hkl 1 0 3
- 31.27°, intensity 32, hkl 1 1 0
- 34.16°, intensity 12, hkl 0 0 6
- 44.80°, intensity 16, hkl 2 0 0
- 46.98°, intensity 26, hkl 1 1 6
- 53.57°, intensity 33, hkl 2 1 3

Crystal structure
a b c (Å): 4.0458 4.0458 15.7496
angles (deg): 90.00 90.00 90.00
Space group I4mm (No. 107)
Asymmetric unit:
Sr: 0.0000 0.0000 0.0000 (multiplicity 2)
Pm: 0.0000 0.0000 0.3559 (multiplicity 2)
Bi: 0.0000 0.0000 0.6814 (multiplicity 2)
O: 0.0000 0.5000 0.4190 (multiplicity 4)

---

Diffraction record for PmTaBi2O8. The powder XRD pattern is theoretical, not measured: it uses a structure optimized by DFT (PBE) and Cu Kα.

Principal peaks in the range 2θ = 10–80°, sorted by position:
- 24.51°, intensity 54, hkl 0 2 0
- 24.84°, intensity 54, hkl 2 0 0
- 31.12°, intensity 100, hkl 1 1 2
- 35.18°, intensity 31, hkl 2 2 0
- 47.48°, intensity 39, hkl 1 3 2
- 47.85°, intensity 38, hkl 3 1 2

Crystal structure
a b c (Å): 7.1677 7.2631 6.9581
angles (deg): 90.00 90.00 90.00
Space group Cmmm (No. 65)
Asymmetric unit:
Pm: 0.0000 0.0000 0.0000 (multiplicity 2)
Ta: 0.0000 0.0000 0.5000 (multiplicity 2)
Bi: 0.0000 0.5000 0.2574 (multiplicity 4)
O: 0.0000 0.2832 0.5000 (multiplicity 4)
O: 0.0000 0.3188 0.0000 (multiplicity 4)
O: 0.1843 0.0000 0.2842 (multiplicity 8)

---

Diffraction record for PmTcBi2O8. The powder XRD pattern is theoretical, not measured: it uses a structure optimized by DFT (PBE) and Cu Kα.

Principal peaks in the range 2θ = 10–80°, sorted by position:
- 23.76°, intensity 58, hkl 1 0 -1
- 24.37°, intensity 57, hkl 1 0 1
- 31.35°, intensity 100, hkl 0 2 1
- 34.29°, intensity 32, hkl 2 0 0
- 46.81°, intensity 39, hkl 2 2 -1
- 47.48°, intensity 41, hkl 1 2 2

Crystal structure
a b c (Å): 5.2305 6.8088 5.2322
angles (deg): 90.00 91.43 90.00
Space group P2/m (No. 10)
Asymmetric unit:
Pm: 0.0000 0.0000 0.0000 (multiplicity 1)
Tc: 0.0000 0.5000 0.0000 (multiplicity 1)
Bi: 0.5000 0.2528 0.5000 (multiplicity 2)
O: 0.1808 0.2879 0.1816 (multiplicity 4)
O: 0.2473 0.5000 0.7541 (multiplicity 2)
O: 0.3140 0.0000 0.6866 (multiplicity 2)

---

Diffraction record for PmTlBiO6. The powder XRD pattern is theoretical, not measured: it uses a structure optimized by DFT (PBE) and Cu Kα.

Principal peaks in the range 2θ = 10–80°, sorted by position:
- 24.21°, intensity 100, hkl 1 1 0
- 30.60°, intensity 93, hkl 1 0 3
- 34.50°, intensity 29, hkl 2 0 0
- 46.77°, intensity 73, hkl 2 1 3
- 57.94°, intensity 19, hkl 1 1 6
- 59.40°, intensity 21, hkl 3 0 3

Crystal structure
a b c (Å): 5.1999 5.1999 10.5930
angles (deg): 90.00 90.00 90.00
Space group P4_2nm (No. 102)
Asymmetric unit:
Pm: 0.0000 0.0000 0.0000 (multiplicity 2)
Tl: 0.0000 0.0000 0.6663 (multiplicity 2)
Bi: 0.0000 0.0000 0.3347 (multiplicity 2)
O: 0.1853 0.1853 0.4909 (multiplicity 4)
O: 0.1909 0.1909 0.1807 (multiplicity 4)
O: 0.2082 0.2082 0.8311 (multiplicity 4)

---

Diffraction record for Pm2YBi2O2. The powder XRD pattern is theoretical, not measured: it uses a structure optimized by DFT (PBE) and Cu Kα.

Principal peaks in the range 2θ = 10–80°, sorted by position:
- 28.70°, intensity 74, hkl 1 1 0
- 33.58°, intensity 100, hkl 1 0 5
- 41.03°, intensity 34, hkl 2 0 0
- 54.03°, intensity 52, hkl 2 1 5
- 67.31°, intensity 14, hkl 3 1 0
- 70.02°, intensity 12, hkl 3 0 5

Crystal structure
a b c (Å): 4.3992 4.3992 16.7850
angles (deg): 90.00 90.00 90.00
Space group I4/mmm (No. 139)
Asymmetric unit:
Pm: 0.0000 0.0000 0.1098 (multiplicity 4)
Y: 0.0000 0.0000 0.5000 (multiplicity 2)
Bi: 0.0000 0.0000 0.3090 (multiplicity 4)
O: 0.0000 0.5000 0.0000 (multiplicity 4)

---

Diffraction record for PmYBiO2. The powder XRD pattern is theoretical, not measured: it uses a structure optimized by DFT (PBE) and Cu Kα.

Principal peaks in the range 2θ = 10–80°, sorted by position:
- 29.83°, intensity 100, hkl 1 0 3
- 32.05°, intensity 35, hkl 1 1 0
- 45.96°, intensity 18, hkl 2 0 0
- 51.51°, intensity 25, hkl 1 1 6
- 55.76°, intensity 35, hkl 2 1 3
- 61.97°, intensity 11, hkl 2 0 6

Crystal structure
a b c (Å): 3.9490 3.9490 13.7850
angles (deg): 90.00 90.00 90.00
Space group I4mm (No. 107)
Asymmetric unit:
Pm: 0.0000 0.0000 0.0000 (multiplicity 2)
Y: 0.0000 0.0000 0.3349 (multiplicity 2)
Bi: 0.0000 0.0000 0.6690 (multiplicity 2)
O: 0.0000 0.5000 0.4131 (multiplicity 4)

---

Diffraction record for Pr2BiO5. The powder XRD pattern is theoretical, not measured: it uses a structure optimized by DFT (PBE) and Cu Kα.

Principal peaks in the range 2θ = 10–80°, sorted by position:
- 26.69°, intensity 87, hkl 1 1 -2
- 27.59°, intensity 100, hkl 3 1 0
- 30.27°, intensity 33, hkl 4 0 -2
- 30.44°, intensity 40, hkl 0 2 0
- 31.99°, intensity 39, hkl 1 1 2
- 43.46°, intensity 39, hkl 4 2 -2

Crystal structure
a b c (Å): 12.7432 5.8733 8.1604
angles (deg): 90.00 114.28 90.00
Space group C2/c (No. 15)
Asymmetric unit:
Pr: 0.1404 0.0039 0.2541 (multiplicity 8)
Bi: 0.0000 0.5000 0.0000 (multiplicity 4)
O: 0.0000 0.3159 0.2500 (multiplicity 4)
O: 0.0735 0.1638 0.9571 (multiplicity 8)
O: 0.1764 0.3412 0.6484 (multiplicity 8)

---

Please write out number 8 again, unchanged.
Diffraction record for Pr2BiO5. The powder XRD pattern is theoretical, not measured: it uses a structure optimized by DFT (PBE) and Cu Kα.

Principal peaks in the range 2θ = 10–80°, sorted by position:
- 26.69°, intensity 87, hkl 1 1 -2
- 27.59°, intensity 100, hkl 3 1 0
- 30.27°, intensity 33, hkl 4 0 -2
- 30.44°, intensity 40, hkl 0 2 0
- 31.99°, intensity 39, hkl 1 1 2
- 43.46°, intensity 39, hkl 4 2 -2

Crystal structure
a b c (Å): 12.7432 5.8733 8.1604
angles (deg): 90.00 114.28 90.00
Space group C2/c (No. 15)
Asymmetric unit:
Pr: 0.1404 0.0039 0.2541 (multiplicity 8)
Bi: 0.0000 0.5000 0.0000 (multiplicity 4)
O: 0.0000 0.3159 0.2500 (multiplicity 4)
O: 0.0735 0.1638 0.9571 (multiplicity 8)
O: 0.1764 0.3412 0.6484 (multiplicity 8)